Computed powder diffraction line list of MnZn2SbO6 for Cu Kα, 1.54184 Å, from a DFT-relaxed cell (GGA+U, Alexandria).
Lines closer than 0.1° are merged.

Peak list (8 most intense, 10° ≤ 2θ ≤ 90°, low angle first)
d_spacing	two_theta	I/Imax
2.736	32.74	100
2.678	33.46	44
2.654	33.78	41
2.644	33.91	81
1.952	46.53	23
1.918	47.41	24
1.575	58.61	22
1.565	59.01	21

Structural model:
Lattice parameters (Å, degrees): 5.3195 7.6702 5.3678 90.00 93.86 90.00
Fractional positions:
Mn1 0.0000 0.0000 0.0000
Mn2 0.0000 0.5000 0.0000
Zn1 0.0141 0.2500 0.5411
Zn2 0.4473 0.7500 0.9791
Zn3 0.5527 0.2500 0.0209
Zn4 0.9859 0.7500 0.4589
Sb1 0.5000 0.0000 0.5000
Sb2 0.5000 0.5000 0.5000
O1 0.0814 0.7500 0.1007
O2 0.1926 0.5709 0.6554
O3 0.1926 0.9291 0.6554
O4 0.3229 0.0632 0.1698
O5 0.3229 0.4368 0.1698
O6 0.4109 0.2500 0.6284
O7 0.5891 0.7500 0.3716
O8 0.6771 0.5632 0.8302
O9 0.6771 0.9368 0.8302
O10 0.8074 0.0709 0.3446
O11 0.8074 0.4291 0.3446
O12 0.9186 0.2500 0.8993